# Th2InSn2
Computed PXRD pattern, Cu Kα X-rays. Input: a cell relaxed with PBE.

Most intense lines, 10 to 90 degrees two-theta, in order of falling intensity:
2θ 28.37, I = 100, hkl 1 0 3
2θ 36.22, I = 87, hkl 1 1 0
2θ 33.21, I = 49, hkl 1 0 4
2θ 46.63, I = 27, hkl 2 0 3
2θ 60.43, I = 25, hkl 2 1 3
2θ 65.73, I = 22, hkl 1 1 8
2θ 21.66, I = 18, hkl 1 0 1
2θ 65.15, I = 16, hkl 3 0 0
2θ 49.95, I = 16, hkl 2 0 4
2θ 63.25, I = 16, hkl 2 1 4

Cell and atoms:
```
data_Th2InSn2
_cell_length_a 4.9602
_cell_length_b 4.9602
_cell_length_c 13.8653
_cell_angle_alpha 90.00
_cell_angle_beta 90.00
_cell_angle_gamma 120.00
_symmetry_space_group_name_H-M 'P 63/m m c'
_symmetry_Int_Tables_number 194
_symmetry_space_group_name_Hall '-P 6c 2c'
loop_
_atom_site_label
_atom_site_type_symbol
_atom_site_fract_x
_atom_site_fract_y
_atom_site_fract_z
_atom_site_occupancy
Th1 Th 0.3333 0.6667 0.1090 1
In1 In 0.0000 0.0000 0.2500 1
Sn1 Sn 0.0000 0.0000 0.0000 1
Sn2 Sn 0.3333 0.6667 0.7500 1
```

---

# NaTc3H
Computed PXRD pattern, Cu Kα X-rays. Input: a cell relaxed with PBE.

Most intense lines, 10 to 90 degrees two-theta, in order of falling intensity:
2θ 39.01, I = 100, hkl 1 1 1
2θ 45.36, I = 49, hkl 2 0 0
2θ 79.50, I = 35, hkl 3 1 1
2θ 66.09, I = 31, hkl 2 2 0
2θ 22.23, I = 19, hkl 1 0 0
2θ 31.64, I = 14, hkl 1 1 0
2θ 83.80, I = 10, hkl 2 2 2
2θ 51.07, I = 8, hkl 2 1 0
2θ 56.36, I = 6, hkl 2 1 1
2θ 70.67, I = 4, hkl 3 0 0

Cell and atoms:
```
data_NaTc3H
_cell_length_a 3.999
_cell_length_b 3.999
_cell_length_c 3.999
_cell_angle_alpha 90.00
_cell_angle_beta 90.00
_cell_angle_gamma 90.00
_symmetry_space_group_name_H-M 'P m -3 m'
_symmetry_Int_Tables_number 221
_symmetry_space_group_name_Hall '-P 4 2 3'
loop_
_atom_site_label
_atom_site_type_symbol
_atom_site_fract_x
_atom_site_fract_y
_atom_site_fract_z
_atom_site_occupancy
Na1 Na 0.000 0.000 0.000 1
Tc1 Tc 0.000 0.500 0.500 1
H1 H 0.500 0.500 0.500 1
```

---

# CaPr2Ti2ZnO9
Computed PXRD pattern, Cu Kα X-rays. Input: a cell relaxed with PBE.

Most intense lines, 10 to 90 degrees two-theta, in order of falling intensity:
2θ 32.19, I = 100, hkl 1 1 -6
2θ 32.54, I = 32, hkl 2 0 0
2θ 32.06, I = 32, hkl 1 1 6
2θ 31.47, I = 28, hkl 0 2 0
2θ 57.83, I = 23, hkl 3 -1 6
2θ 46.33, I = 21, hkl 0 0 12
2θ 46.03, I = 16, hkl 2 -2 0
2θ 45.77, I = 16, hkl 2 2 0
2θ 57.66, I = 14, hkl 3 1 6
2θ 19.71, I = 14, hkl 1 0 3

Cell and atoms:
```
data_CaPr2Ti2ZnO9
_cell_length_a 5.503
_cell_length_b 5.686
_cell_length_c 23.518
_cell_angle_alpha 89.93
_cell_angle_beta 89.82
_cell_angle_gamma 89.68
_symmetry_space_group_name_H-M 'P 1'
_symmetry_Int_Tables_number 1
_symmetry_space_group_name_Hall 'P 1'
loop_
_atom_site_label
_atom_site_type_symbol
_atom_site_fract_x
_atom_site_fract_y
_atom_site_fract_z
_atom_site_occupancy
Ca1 Ca 0.000 0.000 0.000 1
Ca2 Ca 0.000 0.001 0.330 1
Ca3 Ca 0.500 0.606 0.504 1
Ca4 Ca 0.502 0.604 0.173 1
Pr1 Pr 0.011 0.996 0.667 1
Pr2 Pr 0.478 0.494 0.665 1
Pr3 Pr 0.481 0.487 0.331 1
Pr4 Pr 0.482 0.486 0.001 1
Pr5 Pr 0.510 0.603 0.836 1
Pr6 Pr 0.979 0.101 0.837 1
Pr7 Pr 0.981 0.103 0.172 1
Pr8 Pr 0.982 0.103 0.501 1
Ti1 Ti 0.002 0.550 0.919 1
Ti2 Ti 0.469 0.033 0.084 1
Ti3 Ti 0.469 0.034 0.415 1
Ti4 Ti 0.496 0.049 0.751 1
Ti5 Ti 0.971 0.558 0.087 1
Ti6 Ti 0.973 0.558 0.419 1
Ti7 Ti 0.986 0.552 0.583 1
Ti8 Ti 0.995 0.555 0.251 1
Zn1 Zn 0.492 0.045 0.921 1
Zn2 Zn 0.493 0.044 0.252 1
Zn3 Zn 0.495 0.047 0.582 1
Zn4 Zn 0.995 0.548 0.751 1
O1 O 0.084 0.527 0.167 1
O2 O 0.086 0.520 0.839 1
O3 O 0.086 0.527 0.497 1
O4 O 0.187 0.264 0.937 1
O5 O 0.188 0.263 0.598 1
O6 O 0.188 0.264 0.266 1
O7 O 0.207 0.252 0.071 1
O8 O 0.207 0.252 0.401 1
O9 O 0.210 0.247 0.735 1
O10 O 0.280 0.744 0.598 1
O11 O 0.284 0.739 0.934 1
O12 O 0.284 0.740 0.265 1
O13 O 0.290 0.756 0.070 1
O14 O 0.291 0.757 0.400 1
O15 O 0.301 0.763 0.734 1
O16 O 0.401 0.021 0.832 1
O17 O 0.412 0.022 0.495 1
O18 O 0.412 0.023 0.164 1
O19 O 0.588 0.077 0.670 1
O20 O 0.589 0.074 0.339 1
O21 O 0.590 0.073 0.008 1
O22 O 0.692 0.332 0.769 1
O23 O 0.706 0.355 0.906 1
O24 O 0.712 0.351 0.102 1
O25 O 0.712 0.357 0.566 1
O26 O 0.712 0.358 0.237 1
O27 O 0.713 0.351 0.432 1
O28 O 0.782 0.851 0.768 1
O29 O 0.793 0.837 0.102 1
O30 O 0.793 0.838 0.432 1
O31 O 0.798 0.831 0.903 1
O32 O 0.804 0.836 0.238 1
O33 O 0.807 0.840 0.568 1
O34 O 0.903 0.574 0.663 1
O35 O 0.912 0.577 0.005 1
O36 O 0.915 0.575 0.336 1
```

---

# SmB4Os4
Computed PXRD pattern, Cu Kα X-rays. Input: a cell relaxed with PBE.

Most intense lines, 10 to 90 degrees two-theta, in order of falling intensity:
2θ 34.59, I = 100, hkl 2 1 1
2θ 37.43, I = 61, hkl 1 3 0
2θ 40.41, I = 33, hkl 2 2 1
2θ 16.50, I = 32, hkl 1 1 0
2θ 46.83, I = 29, hkl 1 0 2
2θ 48.81, I = 25, hkl 2 3 1
2θ 27.75, I = 22, hkl 1 1 1
2θ 43.92, I = 18, hkl 3 1 1
2θ 69.22, I = 18, hkl 1 4 2
2θ 58.71, I = 15, hkl 3 0 2

Cell and atoms:
```
data_SmB4Os4
_cell_length_a 7.598
_cell_length_b 7.598
_cell_length_c 4.013
_cell_angle_alpha 90.00
_cell_angle_beta 90.00
_cell_angle_gamma 90.00
_symmetry_space_group_name_H-M 'P 42/n'
_symmetry_Int_Tables_number 86
loop_
_symmetry_equiv_pos_as_xyz
'x,y,z'
'-x,-y,-z'
'-y,x+1/2,z+1/2'
'y,-x+1/2,-z+1/2'
'-x+1/2,-y+1/2,z'
'x+1/2,y+1/2,-z'
'y+1/2,-x,z+1/2'
'-y+1/2,x,-z+1/2'
loop_
_atom_site_label
_atom_site_type_symbol
_atom_site_fract_x
_atom_site_fract_y
_atom_site_fract_z
_atom_site_occupancy
Sm1 Sm 0.250 0.250 0.250 1
B1 B 0.031 0.914 0.138 1
Os1 Os 0.104 0.643 0.137 1
```